Calculated powder XRD pattern
Compound: Ca8Ti3Mn5O20
Radiation: Cu Kα (weighted mean of Kα1 and Kα2)
Structure: a DFT-relaxed cell (GGA+U, the Materials Project)
Kinematic intensities with the Lorentz-polarization factor, no thermal factor.

abc: 7.859 7.941 8.048
angles: 89.97 89.37 89.99
Fractional coordinates of all 36 atoms:
Ca1 0.000 0.000 0.000
Ca2 0.005 0.437 0.573
Ca3 0.455 0.021 0.447
Ca4 0.486 0.977 0.003
Ca5 0.508 0.472 0.052
Ca6 0.519 0.421 0.528
Ca7 0.971 0.027 0.449
Ca8 0.987 0.456 0.027
Ti1 0.304 0.717 0.726
Ti2 0.745 0.729 0.266
Ti3 0.754 0.735 0.712
Mn1 0.236 0.248 0.249
Mn2 0.242 0.207 0.749
Mn3 0.245 0.739 0.238
Mn4 0.738 0.234 0.249
Mn5 0.743 0.200 0.762
O1 0.191 0.210 0.502
O2 0.234 0.487 0.168
O3 0.235 0.904 0.845
O4 0.261 0.491 0.742
O5 0.278 0.003 0.203
O6 0.293 0.764 0.506
O7 0.478 0.278 0.293
O8 0.497 0.181 0.708
O9 0.527 0.739 0.161
O10 0.533 0.697 0.798
O11 0.680 0.198 0.995
O12 0.714 0.969 0.325
O13 0.747 0.655 0.496
O14 0.756 0.500 0.195
O15 0.780 0.271 0.528
O16 0.821 0.948 0.734
O17 0.917 0.611 0.799
O18 0.968 0.777 0.192
O19 0.992 0.245 0.817
O20 0.998 0.208 0.204

Most intense lines, 10 to 90 degrees two-theta, in order of rising 2θ:
2θ = 11.14°, I 11, hkl 0 1 0; 2θ = 22.09°, I 15, hkl 0 0 2; 2θ = 24.81°, I 10, hkl 0 1 -2; 2θ = 31.66°, I 100, hkl 0 2 2; 2θ = 32.03°, I 90, hkl 2 0 -2; 2θ = 45.06°, I 15, hkl 0 0 4; 2θ = 45.70°, I 19, hkl 0 4 0; 2θ = 46.21°, I 23, hkl 4 0 0; 2θ = 56.13°, I 8, hkl 2 2 4; 2θ = 56.61°, I 22, hkl 2 4 2; 2θ = 56.87°, I 18, hkl 4 2 2; 2θ = 57.32°, I 12, hkl 4 2 -2